Starting from a PBE-relaxed structure, the powder diffraction line list of Pr4Cu3Ag was calculated for λ = 1.5418 Å (Cu Kα).

Structural model:
a = 4.001 Å, b = 4.675 Å, c = 10.803 Å
α = 90.00°, β = 90.00°, γ = 90.00°
Fractional coordinates of all 8 atoms:
Pr  0.000  0.000  0.000
Pr  0.000  0.500  0.275
Pr  0.500  0.000  0.483
Pr  0.500  0.500  0.780
Cu  0.000  0.500  0.562
Cu  0.500  0.000  0.200
Cu  0.500  0.500  0.071
Ag  0.000  0.000  0.703

The 12 most intense peaks (10° ≤ 2θ ≤ 90°), by angle:
25.19 deg, I 24
30.55 deg, I 100
33.17 deg, I 18
33.48 deg, I 43
38.51 deg, I 57
38.77 deg, I 47
45.34 deg, I 20
51.94 deg, I 30
54.62 deg, I 11
60.96 deg, I 28
64.76 deg, I 24
77.93 deg, I 14

Starting from a PBE-relaxed structure, the powder diffraction line list of PrCuAg2Se4 was calculated for λ = 1.5418 Å (Cu Kα).

Structural model:
a = 7.237 Å, b = 7.237 Å, c = 12.999 Å
α = 90.00°, β = 90.00°, γ = 147.01°
Fractional coordinates of all 16 atoms:
Pr  0.093  0.907  0.750
Pr  0.907  0.093  0.250
Cu  0.165  0.835  0.250
Cu  0.835  0.165  0.750
Ag  0.374  0.626  0.557
Ag  0.374  0.626  0.943
Ag  0.626  0.374  0.057
Ag  0.626  0.374  0.443
Se  0.000  0.000  0.000
Se  0.000  0.000  0.500
Se  0.299  0.701  0.126
Se  0.299  0.701  0.374
Se  0.432  0.568  0.750
Se  0.568  0.432  0.250
Se  0.701  0.299  0.626
Se  0.701  0.299  0.874

The 12 most intense peaks (10° ≤ 2θ ≤ 90°), by angle:
29.06 deg, I 30
29.88 deg, I 100
30.37 deg, I 34
32.23 deg, I 73
36.92 deg, I 19
41.64 deg, I 69
44.08 deg, I 42
44.39 deg, I 23
44.60 deg, I 27
45.72 deg, I 24
51.67 deg, I 22
68.50 deg, I 24

Q: Number 2 is which compound?
A: PrCuAg2Se4